# 1
Calculated XRD peak list of La3DyHo3Se8 for CuKα, from a cell relaxed with PBE.
Lines closer than 0.1° are merged.

```
15
Lattice="4.1292 2.3840 6.9269 -4.1292 2.3840 6.9269 0.0000 -4.7680 6.9269" Properties=species:S:1:pos:R:3 pbc="T T T"
La -2.0646 -1.1920 6.9269
La -2.0646 1.1920 13.8538
La 0.0000 2.3840 6.9269
Dy 0.0000 0.0000 10.3904
Ho -4.1292 0.0000 10.3904
Ho -2.0646 1.1920 3.4634
Ho 2.0646 1.1920 3.4635
Se -2.1017 -1.2134 12.0150
Se 0.0000 0.0000 5.0581
Se 0.0000 -2.4268 8.7657
Se -2.1017 1.2134 8.7657
Se 2.1017 -1.2134 12.0150
Se 0.0000 2.4268 12.0150
Se 0.0000 0.0000 15.7227
Se 2.1017 1.2134 8.7657
```

Main lines, in order of falling intensity (5 to 70 degrees two-theta):
- 2θ 30.3, I = 100
- 2θ 43.0, I = 37
- 2θ 43.9, I = 36
- 2θ 54.3, I = 19
- 2θ 63.1, I = 12
- 2θ 26.4, I = 9
- 2θ 12.8, I = 8
- 2θ 52.9, I = 7
- 2θ 13.1, I = 4
- 2θ 15.0, I = 4



# 2
Calculated XRD peak list of Sc2HgH3 for CuKα, from a cell relaxed with PBE.
Lines closer than 0.1° are merged.

```
12
Lattice="5.7666 -1.6968 0.0000 5.7666 1.6968 0.0000 -2.7555 0.0000 7.4641" Properties=species:S:1:pos:R:3 pbc="T T T"
Sc -0.4226 0.0000 1.6741
Sc 2.7910 0.0000 2.9908
Sc 5.9867 0.0000 4.4733
Sc 9.2003 0.0000 5.7900
Hg 1.2800 0.0000 6.9635
Hg 7.4977 0.0000 0.5006
H -0.5139 0.0000 5.1432
H 0.7472 0.0000 3.3438
H 3.8685 0.0000 4.7651
H 4.9093 0.0000 2.6990
H 8.0305 0.0000 4.1203
H 9.2916 0.0000 2.3209
```

Main lines, in order of falling intensity (5 to 70 degrees two-theta):
- 2θ 11.9, I = 100
- 2θ 33.5, I = 66
- 2θ 34.7, I = 61
- 2θ 36.4, I = 55
- 2θ 65.1, I = 25
- 2θ 59.7, I = 23
- 2θ 35.4, I = 21
- 2θ 62.9, I = 20
- 2θ 23.4, I = 15
- 2θ 43.5, I = 15